Entry 1:
Diffraction record for LaUCu. The X-ray diffraction stick pattern is calculated, not measured: it uses a cell relaxed with GGA-PBE and copper Kα.

Crystal structure
```
data_LaUCu
_chemical_formula_sum 'La8 U8 Cu8'
_symmetry_space_group_name_H-M 'F m m m'
_symmetry_Int_Tables_number 69
_symmetry_space_group_name_Hall '-F 2 2'
_cell_length_a 5.060
_cell_length_b 10.249
_cell_length_c 11.073
_cell_angle_alpha 90.00
_cell_angle_beta 90.00
_cell_angle_gamma 90.00
loop_
_atom_site_label
_atom_site_type_symbol
_atom_site_fract_x
_atom_site_fract_y
_atom_site_fract_z
La1 La 0.000 0.000 0.146
U1 U 0.000 0.196 0.500
Cu1 Cu 0.250 0.250 0.250
```

The 8 most intense peaks (15 to 90 degrees two-theta), most intense first:
d = 2.743 Å, 2θ = 32.6°, intensity 100, (1 3 1)
d = 2.436 Å, 2θ = 36.9°, intensity 63, (0 2 4)
d = 2.863 Å, 2θ = 31.2°, intensity 60, (1 1 3)
d = 2.099 Å, 2θ = 43.1°, intensity 49, (2 2 2)
d = 1.689 Å, 2θ = 54.3°, intensity 39, (1 5 3)
d = 3.761 Å, 2θ = 23.7°, intensity 29, (0 2 2)
d = 2.301 Å, 2θ = 39.1°, intensity 27, (2 0 2)
d = 5.536 Å, 2θ = 16.0°, intensity 25, (0 0 2)

***

Entry 2:
Diffraction record for LaYZnCu. The X-ray diffraction stick pattern is calculated, not measured: it uses a cell relaxed with GGA-PBE and copper Kα.

Crystal structure
```
data_LaYZnCu
_chemical_formula_sum 'La1 Y1 Zn1 Cu1'
_symmetry_space_group_name_H-M 'P 4 m m'
_symmetry_Int_Tables_number 99
_cell_length_a 3.602
_cell_length_b 3.602
_cell_length_c 7.321
_cell_angle_alpha 90.00
_cell_angle_beta 90.00
_cell_angle_gamma 90.00
loop_
_symmetry_equiv_pos_as_xyz
'x,y,z'
'-y,x,z'
'-x,-y,z'
'y,-x,z'
'-x,y,z'
'y,x,z'
'x,-y,z'
'-y,-x,z'
loop_
_atom_site_label
_atom_site_type_symbol
_atom_site_fract_x
_atom_site_fract_y
_atom_site_fract_z
La1 La 0.000 0.000 0.000
Y1 Y 0.000 0.000 0.486
Zn1 Zn 0.500 0.500 0.722
Cu1 Cu 0.500 0.500 0.275
```

The 8 most intense peaks (15 to 90 degrees two-theta), most intense first:
d = 2.567 Å, 2θ = 34.9°, intensity 100, (1 0 2)
d = 2.547 Å, 2θ = 35.2°, intensity 51, (1 1 0)
d = 1.474 Å, 2θ = 63.0°, intensity 34, (2 1 2)
d = 1.801 Å, 2θ = 50.7°, intensity 18, (2 0 0)
d = 1.486 Å, 2θ = 62.5°, intensity 15, (1 1 4)
d = 1.284 Å, 2θ = 73.8°, intensity 9, (2 0 4)
d = 1.830 Å, 2θ = 49.8°, intensity 8, (0 0 4)
d = 1.139 Å, 2θ = 85.2°, intensity 8, (3 1 0)